1.
Structure and calculated powder XRD pattern of LiTmBr4 (the PBE geometry in Alexandria; copper Kα).
No peak broadening, texture or thermal motion is included.

Structural model:
```
12
Lattice="4.0212 -8.7958 0.0000 4.0212 8.7958 0.0000 -3.9654 0.0000 5.6600" Properties=species:S:1:pos:R:3 pbc="T T T"
Li 1.0471 7.2678 4.2450
Li 3.0298 -7.2678 1.4150
Tm 3.0298 1.3208 1.4150
Tm 1.0471 -1.3208 4.2450
Br 1.0236 3.0505 1.3827
Br -0.9564 0.7993 4.3098
Br 1.0263 -0.7993 1.4797
Br -0.9591 -3.0505 4.2127
Br 5.0360 3.0505 1.4473
Br 3.0507 0.7993 4.1803
Br 5.0334 -0.7993 1.3503
Br 3.0533 -3.0505 4.2773
```

The 10 most intense peaks (2θ = 10–90°), low angle first:
2theta  Rel. int.
10.1  56
14.4  54
18.6  47
20.4  29
30.1  100
31.6  46
41.4  19
44.1  31
44.4  39
45.1  17

2.
Structure and calculated powder XRD pattern of LiUBr4 (the PBE geometry in Alexandria; copper Kα).
No peak broadening, texture or thermal motion is included.

Structural model:
```
18
Lattice="7.0747 0.0000 0.0000 -3.5374 6.1269 0.0000 0.0000 0.0000 13.6093" Properties=species:S:1:pos:R:3 pbc="T T T"
Li 0.0000 0.0000 0.0000
Li 0.0000 4.0846 6.8047
Li 3.5374 2.0423 6.8047
U 0.0000 0.0000 6.8047
U 0.0000 4.0846 0.0000
U 3.5374 2.0423 0.0000
Br -1.1218 1.9430 11.9661
Br -1.1854 2.0531 5.2544
Br -2.3520 4.0738 8.3549
Br -2.4156 4.1839 1.6432
Br 2.2436 0.0000 11.9661
Br 1.1218 1.9430 1.6432
Br 2.3707 0.0000 5.2544
Br 1.1854 2.0531 8.3549
Br 4.7040 0.0000 8.3549
Br 2.3520 4.0738 5.2544
Br 4.8311 0.0000 1.6432
Br 2.4156 4.1839 11.9661
```

The 10 most intense peaks (2θ = 10–90°), low angle first:
2theta  Rel. int.
13.0  56
15.9  59
24.4  27
28.4  100
29.9  18
36.6  63
44.4  36
47.6  29
53.5  17
58.8  16

3.
Structure and calculated powder XRD pattern of Li2UBr6 (the PBE geometry in Alexandria; copper Kα).
No peak broadening, texture or thermal motion is included.

Structural model:
```
36
Lattice="6.9539 0.0000 0.0000 -3.4769 6.0222 0.0000 0.0000 0.0000 27.9021" Properties=species:S:1:pos:R:3 pbc="T T T"
Li 0.0000 0.0000 6.9755
Li 0.0000 0.0000 20.9265
Li 0.0000 4.0148 27.9008
Li 0.0000 4.0148 6.9755
Li 0.0000 4.0148 13.9523
Li 3.4769 2.0074 0.0013
Li 3.4769 2.0074 13.9497
Li 3.4769 2.0074 20.9265
U 0.0000 0.0000 0.0000
U 0.0000 0.0000 13.9510
U 0.0000 4.0148 20.9265
U 3.4769 2.0074 6.9755
Br -1.1574 2.0083 1.5562
Br -1.1555 2.0073 8.5307
Br 5.7933 2.0065 15.5072
Br 5.7932 2.0043 22.4818
Br -2.3163 4.0179 5.4203
Br -2.3164 4.0157 12.3949
Br 4.6324 4.0149 19.3713
Br 4.6343 4.0139 26.3459
Br -1.1590 6.0204 1.5562
Br -1.1608 6.0193 8.5307
Br 2.3180 0.0018 15.5072
Br 2.3161 0.0030 22.4818
Br 1.1555 2.0073 5.4203
Br 1.1574 2.0083 12.3949
Br 1.1606 2.0043 19.3713
Br 1.1606 2.0065 26.3459
Br 1.1608 6.0193 5.4203
Br 1.1590 6.0204 12.3949
Br 4.6378 0.0030 19.3713
Br 4.6359 0.0018 26.3459
Br 2.3164 4.0157 1.5562
Br 2.3163 4.0179 8.5307
Br 2.3196 4.0139 15.5072
Br 2.3215 4.0149 22.4818
```

The 10 most intense peaks (2θ = 10–90°), low angle first:
2theta  Rel. int.
12.7  53
15.1  18
16.0  49
24.2  19
28.7  100
35.5  15
36.5  59
45.2  35
47.0  44
54.4  16

4.
Structure and calculated powder XRD pattern of LiUBr4 (the PBE geometry in Alexandria; copper Kα).
No peak broadening, texture or thermal motion is included.

Structural model:
```
12
Lattice="7.0859 0.0000 0.0000 0.0000 7.3690 0.0000 0.0000 0.0000 7.5506" Properties=species:S:1:pos:R:3 pbc="T T T"
Li 0.0000 0.0000 0.0000
Li 0.0000 3.6845 3.7753
U 0.0000 0.0000 3.7753
U 3.5430 0.0000 0.0000
Br 1.5208 1.5196 6.2383
Br 1.5208 5.8494 1.3123
Br 1.7712 1.9726 2.6180
Br 1.7712 5.3965 4.9326
Br 5.3147 1.9726 4.9326
Br 5.3147 5.3965 2.6180
Br 5.5651 1.5196 1.3123
Br 5.5651 5.8494 6.2383
```

The 10 most intense peaks (2θ = 10–90°), low angle first:
2theta  Rel. int.
12.0  100
17.2  62
21.0  84
29.4  63
29.8  53
34.0  37
34.7  36
35.1  67
36.9  28
40.0  34

5.
Structure and calculated powder XRD pattern of LiUBr4 (the PBE geometry in Alexandria; copper Kα).
No peak broadening, texture or thermal motion is included.

Structural model:
```
12
Lattice="14.1650 0.0000 0.0000 0.0000 4.1727 0.0000 -0.8181 0.0000 7.1268" Properties=species:S:1:pos:R:3 pbc="T T T"
Li 0.0000 0.0000 0.0000
Li 7.0825 2.0863 0.0000
U -0.4091 2.0863 3.5634
U 6.6734 0.0000 3.5634
Br 0.7784 2.0863 6.1631
Br 1.3876 0.0000 2.5521
Br 4.8768 2.0863 4.5746
Br 5.4859 0.0000 0.9637
Br 7.8609 0.0000 6.1631
Br 8.4701 2.0863 2.5521
Br 11.9593 0.0000 4.5746
Br 12.5684 2.0863 0.9637
```

The 10 most intense peaks (2θ = 10–90°), low angle first:
2theta  Rel. int.
12.4  56
12.6  100
16.7  24
22.2  35
25.2  27
28.6  24
29.4  50
30.4  95
41.9  38
43.7  51

6.
Structure and calculated powder XRD pattern of Li2UBr6 (the PBE geometry in Alexandria; copper Kα).
No peak broadening, texture or thermal motion is included.

Structural model:
```
18
Lattice="6.9533 0.0000 0.0000 -3.4766 6.0217 0.0000 0.0000 0.0000 14.0089" Properties=species:S:1:pos:R:3 pbc="T T T"
Li 0.0000 0.0000 3.5022
Li 0.0000 0.0000 10.5066
Li 0.0000 4.0145 3.5022
Li 3.4766 2.0072 10.5066
U 0.0000 4.0145 10.5066
U 3.4766 2.0072 3.5022
Br -1.1574 2.0071 1.9459
Br 5.7938 2.0059 8.9503
Br -2.3171 4.0157 5.0586
Br 4.6341 4.0146 12.0630
Br -1.1597 6.0205 1.9459
Br 2.3169 0.0012 8.9503
Br 1.1575 2.0071 5.0586
Br 1.1595 2.0059 12.0630
Br 1.1597 6.0205 5.0586
Br 4.6363 0.0012 12.0630
Br 2.3171 4.0157 1.9459
Br 2.3192 4.0146 8.9503
```

The 10 most intense peaks (2θ = 10–90°), low angle first:
2theta  Rel. int.
12.6  54
16.0  65
24.1  26
28.7  100
30.4  15
36.4  59
45.2  35
46.9  32
54.4  16
59.4  14

7.
Structure and calculated powder XRD pattern of LiW2Br (the PBE geometry in Alexandria; copper Kα).
No peak broadening, texture or thermal motion is included.

Structural model:
```
8
Lattice="5.7105 0.0000 0.0000 0.0000 3.2135 0.0000 -2.5326 0.0000 8.3893" Properties=species:S:1:pos:R:3 pbc="T T T"
Li 0.0000 0.0000 0.0000
Li 2.8553 1.6068 0.0000
W -0.8207 1.6068 4.2493
W 1.0495 1.6068 2.5838
W 2.0346 0.0000 4.2493
W 3.9048 0.0000 2.5838
Br -0.6930 0.0000 6.6281
Br 2.1623 1.6068 6.6281
```

The 10 most intense peaks (2θ = 10–90°), low angle first:
2theta  Rel. int.
10.5  100
21.2  9
31.4  8
32.3  9
33.6  17
35.6  41
41.6  13
42.4  19
43.1  9
44.5  9

8.
Structure and calculated powder XRD pattern of LiWBr4 (the PBE geometry in Alexandria; copper Kα).
No peak broadening, texture or thermal motion is included.

Structural model:
```
12
Lattice="6.7253 0.0000 0.0000 0.0354 7.1378 0.0000 1.5272 3.2805 7.1056" Properties=species:S:1:pos:R:3 pbc="T T T"
Li 0.7296 3.5784 1.5128
Li 7.5582 6.8399 5.5928
W 4.8966 4.5856 7.1048
W 3.3912 5.8327 0.0008
Br 2.1002 5.4854 2.1889
Br 2.0898 1.6645 2.1851
Br 3.0673 3.2893 5.9390
Br 3.4050 6.8538 6.2035
Br 4.8828 3.5645 0.9021
Br 5.2205 7.1290 1.1666
Br 6.1980 8.7537 4.9205
Br 6.1876 4.9329 4.9167
```

The 10 most intense peaks (2θ = 10–90°), low angle first:
2theta  Rel. int.
12.5  100
13.5  68
16.3  62
20.2  21
29.7  37
30.3  35
31.0  47
33.0  16
41.1  18
46.9  17

9.
Structure and calculated powder XRD pattern of LiYBr (the PBE geometry in Alexandria; copper Kα).
No peak broadening, texture or thermal motion is included.

Structural model:
```
12
Lattice="3.6617 0.0000 0.0000 -1.8308 3.1711 0.0000 0.0000 0.0000 26.7990" Properties=species:S:1:pos:R:3 pbc="T T T"
Li 0.0000 2.1141 8.7072
Li 0.0000 2.1141 11.9614
Li 1.8308 1.0570 14.8376
Li 1.8308 1.0570 18.0918
Y 0.0000 2.1141 20.8609
Y 0.0000 2.1141 25.4257
Y 1.8308 1.0570 1.3733
Y 1.8308 1.0570 5.9382
Br 0.0000 2.1141 3.7171
Br 0.0000 2.1141 16.4280
Br 1.8308 1.0570 10.3710
Br 1.8308 1.0570 23.0819
```

The 10 most intense peaks (2θ = 10–90°), low angle first:
2theta  Rel. int.
16.5  17
28.1  37
28.3  22
32.8  46
34.7  100
36.9  14
49.8  29
62.1  18
63.6  14
83.5  15

10.
Structure and calculated powder XRD pattern of Li2YBr (the PBE geometry in Alexandria; copper Kα).
No peak broadening, texture or thermal motion is included.

Structural model:
```
16
Lattice="8.2210 0.0000 0.0000 0.0000 8.2210 0.0000 0.0000 0.0000 5.8050" Properties=species:S:1:pos:R:3 pbc="T T T"
Li 1.5340 2.0552 0.7256
Li 2.0552 5.6445 2.1769
Li 2.0552 6.6869 5.0794
Li 2.5764 2.0552 3.6281
Li 5.6445 6.1657 3.6281
Li 6.1657 1.5340 5.0794
Li 6.1657 2.5764 2.1769
Li 6.6869 6.1657 0.7256
Y 0.0000 0.0000 2.9025
Y 0.0000 4.1105 4.3537
Y 4.1105 0.0000 1.4512
Y 4.1105 4.1105 0.0000
Br 0.0000 0.0000 0.0000
Br 0.0000 4.1105 1.4512
Br 4.1105 0.0000 4.3537
Br 4.1105 4.1105 2.9025
```

The 10 most intense peaks (2θ = 10–90°), low angle first:
2theta  Rel. int.
21.6  100
30.8  49
34.5  66
44.1  17
46.9  54
49.6  22
57.2  15
66.3  19
72.8  14
85.2  15

11.
Structure and calculated powder XRD pattern of Li4ZnBr6 (the PBE geometry in Alexandria; copper Kα).
No peak broadening, texture or thermal motion is included.

Structural model:
```
22
Lattice="6.4983 -3.8178 0.0000 6.4983 3.8178 0.0000 -4.2185 0.0000 12.4373" Properties=species:S:1:pos:R:3 pbc="T T T"
Li -1.3540 0.7985 10.0570
Li 4.3890 3.2995 6.2186
Li 3.9181 1.6975 1.9191
Li 0.7553 -0.7985 3.8384
Li 8.4501 0.8032 0.0699
Li 1.8089 -1.6975 8.1377
Li 6.3408 -0.8032 6.2885
Li 6.4983 -3.2995 0.0000
Zn 2.2666 2.0597 9.2653
Zn 4.3759 -2.0597 3.0466
Br 2.2454 2.0275 6.8641
Br 6.5380 2.1405 1.4509
Br 1.1225 0.0771 9.9948
Br 4.4703 2.0722 10.2394
Br 3.2317 -0.0771 3.7762
Br 6.5866 1.8425 6.1318
Br 4.3547 -2.0275 0.6455
Br 7.7617 0.3112 9.9919
Br 4.4287 -2.1405 7.6696
Br 6.5796 -2.0722 4.0208
Br 9.8710 -0.3112 3.7733
Br 4.4773 -1.8425 12.3504
```

The 10 most intense peaks (2θ = 10–90°), low angle first:
2theta  Rel. int.
14.3  47
23.3  59
23.4  52
23.6  52
27.4  98
27.6  54
27.8  37
28.8  100
47.9  40
48.3  44

12.
Structure and calculated powder XRD pattern of Li2ZnBr4 (the PBE geometry in Alexandria; copper Kα).
No peak broadening, texture or thermal motion is included.

Structural model:
```
28
Lattice="13.7580 0.0000 0.0000 0.0000 7.9593 0.0000 0.0000 0.0000 6.5307" Properties=species:S:1:pos:R:3 pbc="T T T"
Li 0.0000 0.0000 0.0000
Li 0.0000 3.9797 0.0000
Li 3.2197 1.9898 3.2566
Li 3.6593 5.9695 6.5220
Li 6.8790 0.0000 3.2654
Li 6.8790 3.9797 3.2654
Li 10.0987 1.9898 0.0087
Li 10.5382 5.9695 3.2741
Zn 1.1985 5.9695 3.8505
Zn 5.6805 1.9898 0.5851
Zn 8.0774 5.9695 5.9456
Zn 12.5595 1.9898 2.6802
Br 1.0260 1.9898 1.6300
Br 1.2272 5.9695 1.4425
Br 2.2850 4.0460 4.9104
Br 2.2850 7.8930 4.9104
Br 4.5939 0.0664 1.6450
Br 4.5939 3.9133 1.6450
Br 5.6518 1.9898 4.7079
Br 5.8530 5.9695 4.8953
Br 7.9050 1.9898 1.6354
Br 8.1062 5.9695 1.8229
Br 9.1640 4.0460 4.8857
Br 9.1640 7.8930 4.8857
Br 11.4729 0.0664 1.6204
Br 11.4729 3.9133 1.6204
Br 12.5308 1.9898 5.0883
Br 12.7319 5.9695 4.9008
```

The 10 most intense peaks (2θ = 10–90°), low angle first:
2theta  Rel. int.
17.0  12
25.9  40
27.3  26
29.3  100
38.0  19
45.6  38
49.5  40
54.0  14
55.2  16
69.6  14